Entry 1:
Structure and computed powder diffractogram of Tm6AgSb3 (a GGA-PBE-relaxed structure; Cu Kα (weighted mean of Kα1 and Kα2)).
No peak broadening, texture or thermal motion is included.

Structure:
Cell: 11.5456 11.1823 8.2661 Å, 90.00 90.00 90.00°
Space group Cmcm (No. 63)
Inequivalent atoms, fractional coordinates:
Tm 0.0000 0.1640 0.0041 x8
Tm 0.1598 0.5000 0.0000 x8
Tm 0.2467 0.2510 0.2500 x8
Ag 0.0000 0.3610 0.2500 x4
Sb 0.0000 0.3652 0.7500 x4
Sb 0.1431 0.0008 0.7500 x8

The 8 most intense peaks (2θ from 15° to 90°), in order of rising 2θ:
- 31.04°, 2.881 Å, intensity 53, (2 2 2)
- 32.79°, 2.731 Å, intensity 100, (3 1 2)
- 33.29°, 2.692 Å, intensity 93, (1 3 2)
- 34.98°, 2.565 Å, intensity 50, (4 2 0)
- 35.68°, 2.516 Å, intensity 46, (2 4 0)
- 43.81°, 2.067 Å, intensity 32, (0 0 4)
- 57.25°, 1.609 Å, intensity 24, (4 2 4)
- 57.73°, 1.597 Å, intensity 23, (2 4 4)

---

Entry 2:
Structure and computed powder diffractogram of Tm2AgSb3 (a GGA-PBE-relaxed structure; Cu Kα (weighted mean of Kα1 and Kα2)).
No peak broadening, texture or thermal motion is included.

Structure:
Cell: 8.5958 8.5958 16.4020 Å, 90.00 90.00 90.00°
Space group P4/mmm (No. 123)
Inequivalent atoms, fractional coordinates:
Tm 0.0000 0.0000 0.1715 x2
Ag 0.0000 0.0000 0.5000 x1
Sb 0.0000 0.0000 0.0000 x1
Sb 0.0000 0.0000 0.3411 x2

The 8 most intense peaks (2θ from 15° to 90°), in order of rising 2θ:
- 20.67°, 4.298 Å, intensity 66, (2 0 0)
- 23.14°, 3.844 Å, intensity 100, (2 1 0)
- 32.95°, 2.718 Å, intensity 41, (3 1 0)
- 34.43°, 2.605 Å, intensity 36, (1 0 6)
- 36.02°, 2.493 Å, intensity 33, (1 1 6)
- 37.73°, 2.384 Å, intensity 28, (3 2 0)
- 40.49°, 2.228 Å, intensity 45, (2 1 6)
- 47.15°, 1.928 Å, intensity 30, (3 1 6)

---

Entry 3:
Structure and computed powder diffractogram of Tm4Ag5Sb7 (a GGA-PBE-relaxed structure; Cu Kα (weighted mean of Kα1 and Kα2)).
No peak broadening, texture or thermal motion is included.

Structure:
Cell: 6.0012 6.0012 21.1172 Å, 90.00 90.00 90.00°
Space group I-42m (No. 121)
Inequivalent atoms, fractional coordinates:
Tm 0.2401 0.2401 0.3823 x8
Ag 0.0000 0.0000 0.0000 x2
Ag 0.0000 0.0000 0.2531 x4
Ag 0.0000 0.5000 0.2500 x4
Sb 0.0000 0.0000 0.5000 x2
Sb 0.0000 0.5000 0.0000 x4
Sb 0.2405 0.2405 0.1548 x8

The 8 most intense peaks (2θ from 15° to 90°), in order of rising 2θ:
- 26.96°, 3.307 Å, intensity 10, (1 1 4)
- 33.96°, 2.640 Å, intensity 17, (0 0 8)
- 34.38°, 2.609 Å, intensity 100, (2 0 4)
- 40.24°, 2.241 Å, intensity 9, (1 1 8)
- 42.61°, 2.122 Å, intensity 31, (2 2 0)
- 55.57°, 1.654 Å, intensity 16, (2 2 8)
- 61.84°, 1.500 Å, intensity 10, (4 0 0)
- 72.71°, 1.301 Å, intensity 21, (4 2 4)

---

Entry 4:
Structure and computed powder diffractogram of Tm7Ag2Sb2 (a GGA-PBE-relaxed structure; Cu Kα (weighted mean of Kα1 and Kα2)).
No peak broadening, texture or thermal motion is included.

Structure:
Cell: 8.7621 10.7692 6.9493 Å, 90.00 90.00 90.00°
Space group Cmmm (No. 65)
Inequivalent atoms, fractional coordinates:
Tm 0.0000 0.0000 0.0000 x2
Tm 0.0000 0.5000 0.2448 x4
Tm 0.2500 0.2500 0.2587 x8
Ag 0.0000 0.2805 0.0000 x4
Sb 0.2008 0.0000 0.5000 x4

The 8 most intense peaks (2θ from 15° to 90°), in order of rising 2θ:
- 24.01°, 3.706 Å, intensity 41, (2 0 1)
- 26.22°, 3.398 Å, intensity 47, (2 2 0)
- 28.86°, 3.094 Å, intensity 36, (1 1 2)
- 33.28°, 2.692 Å, intensity 54, (0 4 0)
- 37.00°, 2.430 Å, intensity 100, (2 2 2)
- 37.46°, 2.401 Å, intensity 31, (1 3 2)
- 41.21°, 2.190 Å, intensity 30, (4 0 0)
- 53.96°, 1.699 Å, intensity 22, (4 4 0)

---

Entry 5:
Structure and computed powder diffractogram of ZnAg2Sb2 (a GGA-PBE-relaxed structure; Cu Kα (weighted mean of Kα1 and Kα2)).
No peak broadening, texture or thermal motion is included.

Structure:
Cell: 8.8694 8.8694 3.0215 Å, 90.00 90.00 90.00°
Space group P4/mbm (No. 127)
Inequivalent atoms, fractional coordinates:
Zn 0.0000 0.0000 0.0000 x2
Ag 0.1433 0.3567 0.5000 x4
Sb 0.1549 0.6549 0.0000 x4

The 8 most intense peaks (2θ from 15° to 90°), in order of rising 2θ:
- 31.91°, 2.805 Å, intensity 66, (3 1 0)
- 37.42°, 2.404 Å, intensity 100, (2 1 1)
- 40.69°, 2.217 Å, intensity 14, (4 0 0)
- 43.28°, 2.091 Å, intensity 15, (3 3 0)
- 52.20°, 1.752 Å, intensity 13, (4 1 1)
- 64.43°, 1.446 Å, intensity 29, (5 2 1)
- 70.85°, 1.330 Å, intensity 12, (3 1 2)
- 82.90°, 1.165 Å, intensity 8, (7 3 0)

---

Entry 6:
Structure and computed powder diffractogram of ScAg2 (a GGA-PBE-relaxed structure; Cu Kα (weighted mean of Kα1 and Kα2)).
No peak broadening, texture or thermal motion is included.

Structure:
Cell: 3.5686 3.5686 8.9655 Å, 90.00 90.00 90.00°
Space group I4/mmm (No. 139)
Inequivalent atoms, fractional coordinates:
Sc 0.0000 0.0000 0.0000 x2
Ag 0.0000 0.0000 0.3338 x4

The 8 most intense peaks (2θ from 15° to 90°), in order of rising 2θ:
- 26.89°, 3.316 Å, intensity 18, (1 0 1)
- 35.58°, 2.523 Å, intensity 67, (1 1 0)
- 39.32°, 2.291 Å, intensity 100, (1 0 3)
- 51.20°, 1.784 Å, intensity 22, (2 0 0)
- 66.41°, 1.408 Å, intensity 39, (2 1 3)
- 73.68°, 1.286 Å, intensity 14, (1 1 6)
- 84.59°, 1.146 Å, intensity 10, (2 0 6)
- 86.18°, 1.128 Å, intensity 10, (3 1 0)

---

Entry 7:
Structure and computed powder diffractogram of Sc3Ag5 (a GGA-PBE-relaxed structure; Cu Kα (weighted mean of Kα1 and Kα2)).
No peak broadening, texture or thermal motion is included.

Structure:
Cell: 7.3559 7.3559 3.4455 Å, 90.00 90.00 120.00°
Space group P-62m (No. 189)
Inequivalent atoms, fractional coordinates:
Sc 0.0000 0.6041 0.0000 x3
Ag 0.0000 0.2309 0.5000 x3
Ag 0.3333 0.6667 0.5000 x2

The 8 most intense peaks (2θ from 15° to 90°), in order of rising 2θ:
- 25.86°, 3.445 Å, intensity 52, (0 0 1)
- 35.71°, 2.514 Å, intensity 93, (1 1 1)
- 37.35°, 2.408 Å, intensity 100, (2 1 0)
- 38.49°, 2.339 Å, intensity 48, (2 0 1)
- 42.58°, 2.123 Å, intensity 25, (3 0 0)
- 45.99°, 1.974 Å, intensity 65, (2 1 1)
- 66.77°, 1.401 Å, intensity 33, (2 1 2)
- 73.45°, 1.289 Å, intensity 30, (4 1 1)

---

Entry 8:
Structure and computed powder diffractogram of Sc5Ag24 (a GGA-PBE-relaxed structure; Cu Kα (weighted mean of Kα1 and Kα2)).
No peak broadening, texture or thermal motion is included.

Structure:
Cell: 10.2996 10.2996 10.2996 Å, 90.00 90.00 90.00°
Space group I-43m (No. 217)
Inequivalent atoms, fractional coordinates:
Sc 0.0000 0.0000 0.0000 x2
Sc 0.1844 0.1844 0.1844 x8
Ag 0.0432 0.3615 0.6385 x24
Ag 0.0924 0.0924 0.7181 x24

The 8 most intense peaks (2θ from 15° to 90°), in order of rising 2θ:
- 21.13°, 4.205 Å, intensity 11, (2 1 1)
- 34.84°, 2.575 Å, intensity 11, (4 0 0)
- 37.03°, 2.428 Å, intensity 100, (4 1 1)
- 41.11°, 2.196 Å, intensity 42, (3 3 2)
- 44.87°, 2.020 Å, intensity 31, (4 3 1)
- 66.74°, 1.402 Å, intensity 26, (5 5 2)
- 68.13°, 1.376 Å, intensity 10, (6 4 2)
- 78.86°, 1.214 Å, intensity 10, (8 2 2)